[1]
For Li9Mn2Co5O16, a GGA+U-relaxed structure gives the simulated X-ray diffraction stick pattern in this record (Cu Kα X-rays).
Lines closer than 0.1° are merged.

Largest 10 diffraction maxima, in order of rising 2θ, 15 to 90 degrees two-theta:
d/Å, two_theta, I (rel.)
4.896, 18.12, 1000
2.522, 35.59, 132
2.485, 36.15, 245
2.098, 43.13, 260
2.079, 43.52, 535
1.911, 47.58, 89
1.614, 57.07, 96
1.495, 62.09, 72
1.483, 62.66, 142
1.471, 63.21, 137

Cell and atoms:
```
data_Li9Mn2Co5O16
_chemical_formula_sum 'Li18 Mn4 Co10 O32'
_symmetry_space_group_name_H-M 'C 1 m 1'
_symmetry_Int_Tables_number 8
_symmetry_space_group_name_Hall 'C -2y'
_cell_length_a 12.9698
_cell_length_b 2.8943
_cell_length_c 15.4803
_cell_angle_alpha 90.00
_cell_angle_beta 91.74
_cell_angle_gamma 90.00
loop_
_atom_site_label
_atom_site_fract_x
_atom_site_fract_y
_atom_site_fract_z
Li1 0.0000 0.0000 0.0000
Li2 0.0003 0.5000 0.4905
Li3 0.0619 0.0000 0.1778
Li4 0.1221 0.5000 0.8714
Li5 0.1252 0.0000 0.3595
Li6 0.2449 0.0000 0.7433
Li7 0.2457 0.5000 0.2336
Li8 0.3761 0.5000 0.6138
Li9 0.3767 0.0000 0.1186
Mn1 0.3148 0.5000 0.4285
Mn2 0.4350 0.5000 0.8026
Co1 0.0620 0.5000 0.6742
Co2 0.1733 0.5000 0.0599
Co3 0.1871 0.0000 0.5555
Co4 0.3069 0.0000 0.9342
Co5 0.4504 0.0000 0.2951
O1 0.0302 0.0000 0.5876
O2 0.0380 0.5000 0.0813
O3 0.0784 0.0000 0.7699
O4 0.0863 0.5000 0.2783
O5 0.1617 0.0000 0.9625
O6 0.1710 0.5000 0.4689
O7 0.2128 0.5000 0.6418
O8 0.2169 0.0000 0.1381
O9 0.2833 0.0000 0.3498
O10 0.2909 0.5000 0.8370
O11 0.3413 0.5000 0.0153
O12 0.3434 0.0000 0.5118
O13 0.4048 0.5000 0.2194
O14 0.4066 0.0000 0.7201
O15 0.4541 0.5000 0.3934
O16 0.4610 0.0000 0.8834
```

=====

[2]
For La3Mn3O10, a GGA+U-relaxed structure gives the simulated X-ray diffraction stick pattern in this record (Cu Kα X-rays).
Lines closer than 0.1° are merged.

Largest 10 diffraction maxima, in order of rising 2θ, 15 to 90 degrees two-theta:
d/Å, two_theta, I (rel.)
2.775, 32.25, 960
2.761, 32.43, 460
2.747, 32.60, 470
2.728, 32.84, 1000
1.957, 46.40, 322
1.947, 46.65, 306
1.934, 46.98, 303
1.597, 57.73, 197
1.594, 57.85, 179
1.364, 68.84, 184

Cell and atoms:
```
data_La3Mn3O10
_chemical_formula_sum 'La9 Mn9 O30'
_symmetry_space_group_name_H-M 'P 1'
_symmetry_Int_Tables_number 1
_symmetry_space_group_name_Hall 'P 1'
_cell_length_a 5.4553
_cell_length_b 5.4573
_cell_length_c 22.8224
_cell_angle_alpha 96.60
_cell_angle_beta 90.12
_cell_angle_gamma 118.87
loop_
_atom_site_label
_atom_site_fract_x
_atom_site_fract_y
_atom_site_fract_z
La1 0.0000 0.0000 0.0000
La2 0.0882 0.1965 0.2952
La3 0.1908 0.3924 0.5816
La4 0.2968 0.5990 0.9014
La5 0.3897 0.7918 0.1847
La6 0.5932 0.1919 0.7902
La7 0.6881 0.3913 0.0856
La8 0.7986 0.6027 0.4013
La9 0.8881 0.7862 0.6868
Mn1 0.0485 0.1030 0.1431
Mn2 0.1408 0.2928 0.4436
Mn3 0.2417 0.4925 0.7418
Mn4 0.4466 0.9003 0.3443
Mn5 0.5464 0.0959 0.6381
Mn6 0.6393 0.2894 0.9413
Mn7 0.7429 0.4968 0.2427
Mn8 0.8393 0.6925 0.5391
Mn9 0.9410 0.8937 0.8420
O1 0.0114 0.0307 0.4996
O2 0.0289 0.6345 0.7924
O3 0.0419 0.5437 0.4917
O4 0.0618 0.1385 0.7791
O5 0.1233 0.7032 0.2773
O6 0.1639 0.8914 0.6028
O7 0.1997 0.4187 0.1052
O8 0.2287 0.0444 0.3851
O9 0.2448 0.9649 0.0975
O10 0.2787 0.5580 0.3798
O11 0.3329 0.1075 0.8773
O12 0.3553 0.2834 0.2066
O13 0.4119 0.8346 0.7039
O14 0.4401 0.4258 0.9865
O15 0.4520 0.3439 0.6946
O16 0.4877 0.9733 0.9792
O17 0.5211 0.5059 0.4842
O18 0.5595 0.6853 0.8062
O19 0.6219 0.2566 0.3052
O20 0.6470 0.7547 0.2892
O21 0.6481 0.8348 0.5974
O22 0.6933 0.3840 0.5879
O23 0.7446 0.9250 0.0877
O24 0.7844 0.0974 0.3957
O25 0.8250 0.6566 0.9047
O26 0.8288 0.2338 0.1954
O27 0.8550 0.1595 0.8881
O28 0.8597 0.7341 0.1798
O29 0.9236 0.2987 0.6794
O30 0.9431 0.4673 0.9967
```

=====

[3]
For Be2CoH6N2F8, a GGA+U-relaxed structure gives the simulated X-ray diffraction stick pattern in this record (Cu Kα X-rays).
Lines closer than 0.1° are merged.

Largest 10 diffraction maxima, in order of rising 2θ, 15 to 90 degrees two-theta:
d/Å, two_theta, I (rel.)
4.398, 20.19, 1000
3.624, 24.57, 549
3.230, 27.62, 486
3.001, 29.77, 396
2.936, 30.45, 476
2.891, 30.94, 446
2.792, 32.06, 656
2.716, 32.97, 478
2.400, 37.47, 556
1.900, 47.88, 388

Cell and atoms:
```
data_Be2CoH6N2F8
_chemical_formula_sum 'Be4 Co2 H12 N4 F16'
_symmetry_space_group_name_H-M 'P 1 21/c 1'
_symmetry_Int_Tables_number 14
_symmetry_space_group_name_Hall '-P 2ybc'
_cell_length_a 5.9590
_cell_length_b 13.2846
_cell_length_c 6.3998
_cell_angle_alpha 90.00
_cell_angle_beta 99.94
_cell_angle_gamma 90.00
loop_
_atom_site_label
_atom_site_fract_x
_atom_site_fract_y
_atom_site_fract_z
Be1 0.1661 0.0962 0.0362
Co1 0.0000 0.0000 0.5000
H1 0.0431 0.6217 0.0704
H2 0.1421 0.6080 0.0038
H3 0.2317 0.0309 0.3652
N1 0.4618 0.6615 0.6191
F1 0.0617 0.1887 0.0780
F2 0.1455 0.0301 0.8507
F3 0.3299 0.0485 0.2464
F4 0.4893 0.1742 0.6712
```

=====

[4]
For CrO2, a GGA+U-relaxed structure gives the simulated X-ray diffraction stick pattern in this record (Cu Kα X-rays).
Lines closer than 0.1° are merged.

Largest 10 diffraction maxima, in order of rising 2θ, 15 to 90 degrees two-theta:
d/Å, two_theta, I (rel.)
4.839, 18.33, 609
3.926, 22.65, 346
2.882, 31.04, 524
2.869, 31.17, 511
2.563, 35.01, 1000
2.476, 36.28, 199
2.383, 37.75, 436
1.654, 55.55, 162
1.595, 57.81, 267
1.435, 65.01, 440

Cell and atoms:
```
data_CrO2
_chemical_formula_sum 'Cr8 O16'
_symmetry_space_group_name_H-M 'I m m a'
_symmetry_Int_Tables_number 74
_symmetry_space_group_name_Hall '-I 2b 2'
_cell_length_a 5.7630
_cell_length_b 6.1452
_cell_length_c 7.8527
_cell_angle_alpha 90.00
_cell_angle_beta 90.00
_cell_angle_gamma 90.00
loop_
_atom_site_label
_atom_site_fract_x
_atom_site_fract_y
_atom_site_fract_z
Cr1 0.0000 0.0000 0.0000
Cr2 0.0000 0.2500 0.3814
O1 0.0000 0.0256 0.2534
O2 0.2319 0.2500 0.9998
```